[1]
The following is a simulated powder X-ray diffraction pattern of Ba2NaMgCl6. It was derived from DFT lattice parameters and positions (PBE), using Cu Kα (weighted mean of Kα1 and Kα2).
Kinematic intensities with the Lorentz-polarization factor, no thermal factor.

Cell and atoms:
```
20
Lattice="3.549 2.049 13.209 -3.549 2.049 13.209 0.000 -4.098 13.209" Properties=species:S:1:pos:R:3 pbc="T T T"
Ba 0.000 0.000 5.543
Ba 0.000 0.000 12.131
Ba 0.000 0.000 27.497
Ba 0.000 0.000 34.084
Na 0.000 0.000 16.460
Na 0.000 0.000 23.167
Mg 0.000 0.000 0.000
Mg 0.000 0.000 19.814
Cl -1.772 -1.023 18.359
Cl 0.000 -2.061 14.644
Cl -1.785 1.031 14.644
Cl -1.785 -1.031 24.984
Cl 0.000 -2.046 21.268
Cl -1.772 1.023 21.268
Cl 1.772 -1.023 18.359
Cl 0.000 2.046 18.359
Cl 1.785 1.031 14.644
Cl 1.785 -1.031 24.984
Cl 0.000 2.061 24.984
Cl 1.772 1.023 21.268
```

Top 10 peaks for 2θ from 5° to 70°, low angle first:
Position (°2θ), I (rel.)
13.41, 59
21.34, 49
25.09, 67
28.55, 26
28.72, 34
29.41, 27
31.21, 69
33.17, 100
38.50, 45
51.50, 42

=====

[2]
The following is a simulated powder X-ray diffraction pattern of BaMg2ZnCl8. It was derived from DFT lattice parameters and positions (PBE), using Cu Kα (weighted mean of Kα1 and Kα2).
Kinematic intensities with the Lorentz-polarization factor, no thermal factor.

Cell and atoms:
```
12
Lattice="6.155 0.000 0.000 0.000 8.044 0.000 -0.391 0.000 6.346" Properties=species:S:1:pos:R:3 pbc="T T T"
Ba 0.000 0.000 0.000
Mg 2.882 2.169 3.173
Mg 2.882 5.875 3.173
Zn 0.000 4.022 0.000
Cl 1.433 2.368 1.076
Cl 1.433 5.676 1.076
Cl 1.436 4.022 4.179
Cl 1.585 0.000 4.012
Cl 4.179 0.000 2.333
Cl 4.328 4.022 2.167
Cl 4.332 2.368 5.269
Cl 4.332 5.676 5.269
```

Top 10 peaks for 2θ from 5° to 70°, low angle first:
Position (°2θ), I (rel.)
13.96, 35
19.48, 88
20.73, 60
26.49, 43
30.48, 100
30.91, 54
38.33, 30
38.87, 60
40.22, 36
48.63, 41

=====

[3]
The following is a simulated powder X-ray diffraction pattern of BaMnCl5. It was derived from DFT lattice parameters and positions (PBE), using Cu Kα (weighted mean of Kα1 and Kα2).
Kinematic intensities with the Lorentz-polarization factor, no thermal factor.

Cell and atoms:
```
14
Lattice="5.585 -3.273 0.000 5.585 3.273 0.000 -5.375 0.000 10.267" Properties=species:S:1:pos:R:3 pbc="T T T"
Ba 2.898 3.071 5.134
Ba 5.585 -3.071 0.000
Mn 1.489 0.034 7.885
Mn 4.176 -0.034 2.751
Cl 3.224 1.944 2.106
Cl 0.086 1.152 6.484
Cl 2.701 1.951 8.133
Cl 0.278 0.239 10.024
Cl 2.774 -1.152 1.350
Cl 5.866 1.154 3.692
Cl 2.966 -0.239 4.890
Cl 0.536 -1.944 7.240
Cl 3.179 -1.154 8.826
Cl 5.388 -1.951 3.000
```

Top 10 peaks for 2θ from 5° to 70°, low angle first:
Position (°2θ), I (rel.)
17.93, 81
20.49, 100
27.99, 32
30.35, 33
30.92, 83
31.69, 34
32.06, 35
32.44, 30
32.81, 66
45.98, 29

=====

[4]
The following is a simulated powder X-ray diffraction pattern of BaMnCl. It was derived from DFT lattice parameters and positions (PBE), using Cu Kα (weighted mean of Kα1 and Kα2).
Kinematic intensities with the Lorentz-polarization factor, no thermal factor.

Cell and atoms:
```
3
Lattice="-2.016 2.016 6.901 2.016 -2.016 6.901 2.016 2.016 -6.901" Properties=species:S:1:pos:R:3 pbc="T T T"
Ba 0.000 0.000 0.000
Mn 0.000 0.000 9.191
Cl 0.000 0.000 5.491
```

Top 10 peaks for 2θ from 5° to 70°, low angle first:
Position (°2θ), I (rel.)
12.83, 56
22.98, 26
29.45, 100
31.37, 51
34.02, 22
39.56, 23
44.96, 18
51.03, 20
54.66, 33
61.41, 12

=====

[5]
The following is a simulated powder X-ray diffraction pattern of BaMn2Cl. It was derived from DFT lattice parameters and positions (PBE), using Cu Kα (weighted mean of Kα1 and Kα2).
Kinematic intensities with the Lorentz-polarization factor, no thermal factor.

Cell and atoms:
```
4
Lattice="3.918 0.000 0.000 0.000 3.810 0.000 -1.956 0.000 7.542" Properties=species:S:1:pos:R:3 pbc="T T T"
Ba 0.000 0.000 0.000
Mn -0.012 0.000 3.222
Mn 1.949 1.905 2.771
Cl 0.005 1.905 6.081
```

Top 10 peaks for 2θ from 5° to 70°, low angle first:
Position (°2θ), I (rel.)
11.73, 17
23.46, 16
23.59, 31
26.20, 16
28.89, 28
33.36, 100
37.63, 17
44.76, 25
46.35, 11
58.34, 11